For TbAlFe, a structure optimized by DFT (PBE) gives the simulated XRD peak list in this record (Cu Kα).
Peak positions follow from Bragg's law for the DFT cell and can differ from measured ones.

Structure:
Lattice parameters (Å, degrees): 8.756 5.420 9.201 90.00 90.00 90.00
Space group Amm2 (No. 38)
One atom of each set of equivalent atoms:
Tb 0.176 0.000 0.000
Tb 0.304 0.000 0.335
Al 0.236 0.000 0.674
Al 0.500 0.247 0.082
Fe 0.000 0.000 0.496
Fe 0.000 0.235 0.256
Fe 0.500 0.000 0.836

Most intense lines, 2θ from 10° to 90°, by angle:
- 2θ 19.00, I = 29, (0 1 1)
- 2θ 33.05, I = 34, (0 2 0)
- 2θ 33.57, I = 53, (0 1 3)
- 2θ 36.30, I = 100, (3 1 1)
- 2θ 36.46, I = 40, (3 0 2)
- 2θ 39.11, I = 40, (2 2 0)
- 2θ 39.54, I = 76, (2 1 3)
- 2θ 39.96, I = 44, (1 2 2)



For Ti6Al16Fe7, a structure optimized by DFT (PBE) gives the simulated XRD peak list in this record (Cu Kα).
Peak positions follow from Bragg's law for the DFT cell and can differ from measured ones.

Structure:
Lattice parameters (Å, degrees): 11.850 11.850 11.850 90.00 90.00 90.00
Space group Fm-3m (No. 225)
One atom of each set of equivalent atoms:
Ti 0.000 0.000 0.208
Al 0.120 0.120 0.380
Al 0.158 0.158 0.158
Fe 0.000 0.000 0.500
Fe 0.000 0.250 0.250

Most intense lines, 2θ from 10° to 90°, by angle:
- 2θ 30.17, I = 14, (4 0 0)
- 2θ 37.17, I = 15, (4 2 2)
- 2θ 39.52, I = 29, (3 3 3)
- 2θ 43.19, I = 100, (4 4 0)
- 2θ 51.13, I = 12, (6 2 2)
- 2θ 59.96, I = 10, (7 3 1)
- 2θ 62.73, I = 10, (8 0 0)
- 2θ 79.20, I = 15, (8 4 4)



For TiAlFe, a structure optimized by DFT (PBE) gives the simulated XRD peak list in this record (Cu Kα).
Peak positions follow from Bragg's law for the DFT cell and can differ from measured ones.

Structure:
Lattice parameters (Å, degrees): 4.897 8.002 4.898 90.00 119.09 90.00
Space group Pm (No. 6)
One atom of each set of equivalent atoms:
Ti 0.000 0.175 0.000
Ti 0.665 0.298 0.336
Al 0.163 0.500 0.323
Al 0.319 0.240 0.678
Al 0.673 0.500 0.836
Fe 0.161 0.500 0.834
Fe 0.497 0.000 0.502
Fe 0.502 0.000 0.025
Fe 0.974 0.000 0.498

Most intense lines, 2θ from 10° to 90°, by angle:
- 2θ 11.06, I = 51, (0 1 0)
- 2θ 39.82, I = 86, (1 3 0)
- 2θ 42.86, I = 43, (1 2 1)
- 2θ 43.32, I = 93, (2 2 -1)
- 2θ 43.79, I = 100, (0 1 2)
- 2θ 44.38, I = 42, (2 1 -2)
- 2θ 45.34, I = 27, (0 4 0)
- 2θ 73.96, I = 28, (0 5 2)



Please write out number 3 again, unchanged.
For TiAlFe, a structure optimized by DFT (PBE) gives the simulated XRD peak list in this record (Cu Kα).
Peak positions follow from Bragg's law for the DFT cell and can differ from measured ones.

Structure:
Lattice parameters (Å, degrees): 4.897 8.002 4.898 90.00 119.09 90.00
Space group Pm (No. 6)
One atom of each set of equivalent atoms:
Ti 0.000 0.175 0.000
Ti 0.665 0.298 0.336
Al 0.163 0.500 0.323
Al 0.319 0.240 0.678
Al 0.673 0.500 0.836
Fe 0.161 0.500 0.834
Fe 0.497 0.000 0.502
Fe 0.502 0.000 0.025
Fe 0.974 0.000 0.498

Most intense lines, 2θ from 10° to 90°, by angle:
- 2θ 11.06, I = 51, (0 1 0)
- 2θ 39.82, I = 86, (1 3 0)
- 2θ 42.86, I = 43, (1 2 1)
- 2θ 43.32, I = 93, (2 2 -1)
- 2θ 43.79, I = 100, (0 1 2)
- 2θ 44.38, I = 42, (2 1 -2)
- 2θ 45.34, I = 27, (0 4 0)
- 2θ 73.96, I = 28, (0 5 2)